NbTe7Br5O: computed XRD peak list (Cu Kα), based on a structure optimized by DFT (GGA-PBE).
Intensities are scaled so that the largest is 1000.

Peak list (10 most intense, 5° ≤ 2θ ≤ 70°, most intense first)
d (Å), intensity, index
3.102, 1000, 6 2 0
3.688, 730, 0 1 2
3.907, 441, 2 0 2
2.647, 439, 8 2 0
3.223, 424, 7 1 1
2.848, 353, 6 1 2
2.149, 329, 0 4 0
5.781, 306, 1 1 1
2.584, 306, 1 1 3
3.492, 283, 4 0 2

Structure:
```
data_NbTe7Br5O
_chemical_formula_sum 'Nb4 Te28 Br20 O4'
_cell_length_a 26.891
_cell_length_b 8.593
_cell_length_c 8.166
_cell_angle_alpha 90.00
_cell_angle_beta 90.00
_cell_angle_gamma 90.00
_space_group_name_H-M_alt 'P c c a'
_space_group_IT_number 54
_space_group_name_Hall '-P 2a 2ac'
loop_
_atom_site_label
_atom_site_fract_x
_atom_site_fract_y
_atom_site_fract_z
Nb1 0.250 0.000 0.216
Te1 0.000 0.500 0.000
Te2 0.075 0.252 0.439
Te3 0.079 0.267 0.083
Te4 0.143 0.485 0.528
Br1 0.000 0.004 0.750
Br2 0.158 0.068 0.755
Br3 0.228 0.291 0.252
O1 0.250 0.000 0.498
```